Record 1
The following is a simulated X-ray powder pattern of K4InCl6. It was derived from a cell relaxed with PBE, using λ = 1.5418 Å (Cu Kα).
No peak broadening, texture or thermal motion is included.

Structural model:
```
data_K4InCl6
_space_group_name_H-M_alt 'P 4/m n c'
_space_group_IT_number 128
_space_group_name_Hall '-P 4 2n'
_cell_length_a 8.736
_cell_length_b 8.736
_cell_length_c 8.914
_cell_angle_alpha 90.00
_cell_angle_beta 90.00
_cell_angle_gamma 90.00
loop_
_atom_site_label
_atom_site_type_symbol
_atom_site_fract_x
_atom_site_fract_y
_atom_site_fract_z
_atom_site_occupancy
K1 K 0.172 0.328 0.250 1
In1 In 0.000 0.000 0.000 1
Cl1 Cl 0.000 0.000 0.302 1
Cl2 Cl 0.099 0.689 0.000 1
```

Principal peaks in the range 2θ = 10–90°, in order of rising 2θ:
2θ/deg  d_spacing  I_rel
14.19  6.239  919
14.34  6.178  338
28.91  3.089  231
30.42  2.938  859
31.81  2.813  363
32.40  2.764  1000
40.48  2.229  198
46.49  1.954  185
48.48  1.878  212
52.78  1.735  262

---

Record 2
The following is a simulated X-ray powder pattern of KLiIn2Cl8. It was derived from a cell relaxed with PBE, using λ = 1.5418 Å (Cu Kα).
No peak broadening, texture or thermal motion is included.

Structural model:
```
data_KLiIn2Cl8
_space_group_name_H-M_alt 'I -4 m 2'
_space_group_IT_number 119
_space_group_name_Hall 'I -4 -2'
_cell_length_a 10.025
_cell_length_b 10.025
_cell_length_c 8.142
_cell_angle_alpha 90.00
_cell_angle_beta 90.00
_cell_angle_gamma 90.00
loop_
_atom_site_label
_atom_site_type_symbol
_atom_site_fract_x
_atom_site_fract_y
_atom_site_fract_z
_atom_site_occupancy
K1 K 0.000 0.000 0.000 1
Li1 Li 0.000 0.500 0.250 1
In1 In 0.000 0.000 0.500 1
In2 In 0.000 0.500 0.750 1
Cl1 Cl 0.000 0.191 0.324 1
Cl2 Cl 0.000 0.324 0.950 1
```

Principal peaks in the range 2θ = 10–90°, in order of rising 2θ:
2θ/deg  d_spacing  I_rel
14.01  6.320  482
17.70  5.012  955
22.64  3.927  1000
25.23  3.530  274
28.24  3.161  184
35.88  2.503  883
38.65  2.330  176
38.78  2.322  182
44.33  2.044  334
46.77  1.942  183

---

Record 3
The following is a simulated X-ray powder pattern of K2LiInCl4. It was derived from a cell relaxed with PBE, using λ = 1.5418 Å (Cu Kα).
No peak broadening, texture or thermal motion is included.

Structural model:
```
data_K2LiInCl4
_space_group_name_H-M_alt 'C 1 2/c 1'
_space_group_IT_number 15
_cell_length_a 12.453
_cell_length_b 12.207
_cell_length_c 8.701
_cell_angle_alpha 90.00
_cell_angle_beta 134.24
_cell_angle_gamma 90.00
loop_
_space_group_symop_operation_xyz
'x,y,z'
'-x,-y,-z'
'-x,y,-z+1/2'
'x,-y,z+1/2'
'x+1/2,y+1/2,z'
'-x+1/2,-y+1/2,-z'
'-x+1/2,y+1/2,-z+1/2'
'x+1/2,-y+1/2,z+1/2'
loop_
_atom_site_label
_atom_site_type_symbol
_atom_site_fract_x
_atom_site_fract_y
_atom_site_fract_z
_atom_site_occupancy
K1 K 0.000 0.000 0.000 1
K2 K 0.250 0.250 0.000 1
Li1 Li 0.250 0.250 0.500 1
In1 In 0.000 0.500 0.000 1
Cl1 Cl 0.001 0.249 0.495 1
Cl2 Cl 0.245 0.044 0.495 1
```

Principal peaks in the range 2θ = 10–90°, in order of rising 2θ:
2θ/deg  d_spacing  I_rel
12.29  7.203  285
14.51  6.104  200
23.90  3.724  149
28.66  3.114  1000
29.26  3.052  372
40.44  2.230  181
41.42  2.180  534
41.52  2.175  167
50.70  1.801  140
51.60  1.771  132